Entry 1:
For Sm2Y2CI4Br, a crystal structure in OQMD, relaxed with GGA-PBE gives the theoretical powder X-ray diffraction pattern in this record (copper Kα).
Kinematic intensities with the Lorentz-polarization factor, no thermal factor.

Largest 10 diffraction maxima, in order of rising 2θ, 5° ≤ 2θ ≤ 70°:
- (0 0 1), 2θ 10.71, d = 8.262 Å, I 15
- (0 0 2), 2θ 21.55, d = 4.124 Å, I 18
- (1 1 0), 2θ 22.84, d = 3.894 Å, I 22
- (6 0 0), 2θ 28.28, d = 3.155 Å, I 50
- (1 1 -2), 2θ 30.87, d = 2.897 Å, I 100
- (5 1 0), 2θ 32.64, d = 2.743 Å, I 27
- (5 1 2), 2θ 42.23, d = 2.140 Å, I 29
- (7 1 -2), 2θ 42.48, d = 2.128 Å, I 29
- (0 2 0), 2θ 45.59, d = 1.990 Å, I 19
- (6 2 0), 2θ 54.52, d = 1.683 Å, I 16

Crystal structure
Unit cell a=19.3645 b=3.9795 c=8.4509 alpha=90.00 beta=102.13 gamma=90.00
Space group C2/m (No. 12)
Unique sites:
Sm  0.0007  0.0000  0.2982
Y  0.1275  0.5000  0.5635
C  0.0000  0.5000  0.5000
I  0.1647  0.0000  0.8425
I  0.1688  0.0000  0.3216
Br  0.0000  0.5000  0.0000

***

Entry 2:
For Sm2Y2CIBr4, a crystal structure in OQMD, relaxed with GGA-PBE gives the theoretical powder X-ray diffraction pattern in this record (copper Kα).
Kinematic intensities with the Lorentz-polarization factor, no thermal factor.

Largest 10 diffraction maxima, in order of rising 2θ, 5° ≤ 2θ ≤ 70°:
- (2 0 0), 2θ 10.11, d = 8.750 Å, I 28
- (0 0 1), 2θ 10.45, d = 8.463 Å, I 17
- (3 1 -1), 2θ 28.09, d = 3.176 Å, I 9
- (1 1 -2), 2θ 30.69, d = 2.913 Å, I 100
- (5 1 0), 2θ 34.35, d = 2.611 Å, I 11
- (2 0 -4), 2θ 41.54, d = 2.174 Å, I 8
- (5 1 2), 2θ 43.75, d = 2.069 Å, I 17
- (7 1 -2), 2θ 44.13, d = 2.052 Å, I 18
- (0 2 0), 2θ 46.32, d = 1.960 Å, I 12
- (6 2 0), 2θ 56.58, d = 1.627 Å, I 10

Crystal structure
Unit cell a=17.9808 b=3.9199 c=8.6958 alpha=90.00 beta=103.29 gamma=90.00
Space group C2/m (No. 12)
Unique sites:
Sm  0.0009  0.0000  0.3061
Y  0.1377  0.5000  0.5690
C  0.0000  0.5000  0.5000
I  0.0000  0.5000  0.0000
Br  0.1673  0.0000  0.8165
Br  0.1721  0.0000  0.3477

***

Entry 3:
For K2PtC4Br2N4, a crystal structure in OQMD, relaxed with GGA-PBE gives the theoretical powder X-ray diffraction pattern in this record (copper Kα).
Kinematic intensities with the Lorentz-polarization factor, no thermal factor.

Largest 10 diffraction maxima, in order of rising 2θ, 5° ≤ 2θ ≤ 70°:
- (1 0 0), 2θ 12.87, d = 6.878 Å, I 94
- (0 1 1), 2θ 14.54, d = 6.092 Å, I 100
- (1 1 -1), 2θ 17.28, d = 5.131 Å, I 75
- (0 0 2), 2θ 21.43, d = 4.146 Å, I 93
- (1 0 -2), 2θ 21.61, d = 4.113 Å, I 53
- (1 0 2), 2θ 28.15, d = 3.170 Å, I 34
- (2 0 -2), 2θ 28.56, d = 3.126 Å, I 39
- (1 1 2), 2θ 29.89, d = 2.989 Å, I 28
- (0 3 1), 2θ 31.78, d = 2.816 Å, I 39
- (1 4 -2), 2θ 46.02, d = 1.972 Å, I 34

Crystal structure
Unit cell a=7.1815 b=8.9802 c=8.6592 alpha=90.00 beta=106.73 gamma=90.00
Space group P2_1/c (No. 14)
Unique sites:
K  0.0010  0.2228  0.3777
Pt  0.5000  0.0000  0.0000
C  0.2946  0.0374  0.1118
C  0.3035  0.0468  0.7885
Br  0.3970  0.7306  0.9665
N  0.1693  0.0599  0.1705
N  0.1821  0.0733  0.6688

***

Entry 4:
For K2OsCBr5O, a crystal structure in OQMD, relaxed with GGA-PBE gives the theoretical powder X-ray diffraction pattern in this record (copper Kα).
Kinematic intensities with the Lorentz-polarization factor, no thermal factor.

Largest 10 diffraction maxima, in order of rising 2θ, 5° ≤ 2θ ≤ 70°:
- (0 1 1), 2θ 14.57, d = 6.081 Å, I 96
- (2 0 1), 2θ 14.76, d = 6.004 Å, I 100
- (0 0 2), 2θ 16.50, d = 5.373 Å, I 39
- (2 1 0), 2θ 17.16, d = 5.166 Å, I 95
- (4 0 2), 2θ 29.76, d = 3.002 Å, I 39
- (3 2 0), 2θ 30.51, d = 2.930 Å, I 47
- (0 0 4), 2θ 33.35, d = 2.687 Å, I 73
- (4 2 0), 2θ 34.73, d = 2.583 Å, I 60
- (3 2 4), 2θ 45.82, d = 1.980 Å, I 28
- (4 2 4), 2θ 48.91, d = 1.862 Å, I 42

Crystal structure
Unit cell a=14.4772 b=7.3751 c=10.7468 alpha=90.00 beta=90.00 gamma=90.00
Space group Pna2_1 (No. 33)
Unique sites:
K  0.1432  0.1752  0.9996
K  0.1452  0.1727  0.5000
Os  0.1135  0.6897  0.7491
C  0.0205  0.5219  0.7487
Br  0.0042  0.9591  0.7499
Br  0.1128  0.6945  0.9834
Br  0.1170  0.7030  0.5150
Br  0.2305  0.4353  0.7482
Br  0.2471  0.4169  0.2529
O  0.0362  0.5916  0.2502

***

Entry 5:
For La2Nd2C2Br5, a crystal structure in OQMD, relaxed with GGA-PBE gives the theoretical powder X-ray diffraction pattern in this record (copper Kα).
Kinematic intensities with the Lorentz-polarization factor, no thermal factor.

Largest 10 diffraction maxima, in order of rising 2θ, 5° ≤ 2θ ≤ 70°:
- (0 0 1), 2θ 10.91, d = 8.113 Å, I 35
- (2 0 1), 2θ 16.08, d = 5.513 Å, I 14
- (3 1 -1), 2θ 27.20, d = 3.279 Å, I 22
- (6 0 0), 2θ 28.23, d = 3.161 Å, I 68
- (3 1 1), 2θ 30.01, d = 2.978 Å, I 22
- (1 1 -2), 2θ 30.93, d = 2.891 Å, I 100
- (7 1 -2), 2θ 41.74, d = 2.164 Å, I 36
- (5 1 2), 2θ 42.99, d = 2.104 Å, I 40
- (0 2 0), 2θ 45.41, d = 1.997 Å, I 20
- (6 2 0), 2θ 54.33, d = 1.688 Å, I 22

Crystal structure
Unit cell a=19.6088 b=3.9941 c=8.3871 alpha=90.00 beta=104.68 gamma=90.00
Space group C2/m (No. 12)
Unique sites:
La  0.0007  0.0000  0.2962
Nd  0.1565  0.5000  0.6024
C  0.0369  0.5000  0.5236
Br  0.0000  0.5000  0.0000
Br  0.1617  0.0000  0.8666
Br  0.1687  0.0000  0.3392

***

Entry 6:
For La2Nd2C2Br5, a crystal structure in OQMD, relaxed with GGA-PBE gives the theoretical powder X-ray diffraction pattern in this record (copper Kα).
Kinematic intensities with the Lorentz-polarization factor, no thermal factor.

Largest 10 diffraction maxima, in order of rising 2θ, 5° ≤ 2θ ≤ 70°:
- (0 1 1), 2θ 11.71, d = 7.559 Å, I 19
- (1 1 2), 2θ 26.69, d = 3.340 Å, I 28
- (0 0 6), 2θ 29.08, d = 3.071 Å, I 56
- (1 2 1), 2θ 31.58, d = 2.833 Å, I 100
- (0 3 3), 2θ 35.63, d = 2.520 Å, I 36
- (1 2 5), 2θ 39.81, d = 2.264 Å, I 34
- (2 0 0), 2θ 45.65, d = 1.987 Å, I 18
- (1 2 7), 2θ 46.84, d = 1.939 Å, I 30
- (2 0 6), 2θ 55.04, d = 1.668 Å, I 18
- (2 3 3), 2θ 59.22, d = 1.560 Å, I 16

Crystal structure
Unit cell a=3.9745 b=8.2892 c=18.4234 alpha=90.00 beta=90.00 gamma=90.00
Space group Immm (No. 71)
Unique sites:
La  0.0000  0.0000  0.1627
Nd  0.0000  0.2976  0.5000
C  0.0000  0.0000  0.0384
Br  0.0000  0.2219  0.3371
Br  0.0000  0.5000  0.0000